Diffraction record for Na3DyCl6. The X-ray diffraction stick pattern is computed, not measured: it uses DFT lattice parameters and positions (PBE) and Cu Ka.
No peak broadening, texture or thermal motion is included.

Peak list (10 most intense, 15° ≤ 2θ ≤ 90°, sorted by position)
2θ (°), I_rel, index
15.64, 62, 1 0 -2
17.14, 46, 0 0 2
17.70, 100, 1 1 -1
24.57, 50, 1 1 1
24.90, 45, 1 1 -3
28.80, 69, 1 2 0
29.20, 51, 1 0 -4
29.90, 61, 2 1 -1
39.04, 53, 1 3 -1
42.79, 47, 0 2 4

Cell and atoms:
abc: 6.856 7.346 12.308
angles: 90.00 122.79 90.00
Space group P2_1/c (No. 14)
Symmetry-distinct sites (fractional):
Na  0.000  0.000  0.000 [2 per cell]
Na  0.205  0.095  0.744 [4 per cell]
Dy  0.500  0.000  0.500 [2 per cell]
Cl  0.113  0.177  0.428 [4 per cell]
Cl  0.256  0.693  0.423 [4 per cell]
Cl  0.407  0.058  0.263 [4 per cell]



Diffraction record for DyClO2. The X-ray diffraction stick pattern is computed, not measured: it uses DFT lattice parameters and positions (PBE) and Cu Ka.
No peak broadening, texture or thermal motion is included.

Peak list (10 most intense, 15° ≤ 2θ ≤ 90°, sorted by position)
2θ (°), I_rel, index
15.10, 59, 1 0 0
16.17, 100, 1 0 -1
24.91, 45, 1 0 1
27.93, 33, 2 0 -1
29.19, 91, 0 0 2
29.53, 55, 1 1 0
30.10, 46, 1 1 -1
39.96, 33, 2 1 0
41.72, 35, 2 1 -2
46.41, 46, 1 1 2

Cell and atoms:
abc: 6.411 3.531 6.688
angles: 90.00 113.80 90.00
Space group P2_1/m (No. 11)
Symmetry-distinct sites (fractional):
Dy  0.155  0.250  0.269 [2 per cell]
Cl  0.494  0.750  0.280 [2 per cell]
O  0.054  0.250  0.893 [2 per cell]
O  0.058  0.750  0.526 [2 per cell]



Diffraction record for DyClO. The X-ray diffraction stick pattern is computed, not measured: it uses DFT lattice parameters and positions (PBE) and Cu Ka.
No peak broadening, texture or thermal motion is included.

Peak list (10 most intense, 15° ≤ 2θ ≤ 90°, sorted by position)
2θ (°), I_rel, index
27.69, 100, 0 1 2
28.20, 22, 0 0 9
31.28, 98, 0 1 5
34.97, 60, 1 0 7
37.92, 17, 0 0 12
44.44, 28, 0 1 11
47.63, 49, 1 1 0
48.64, 17, 1 1 3
56.28, 21, 1 1 9
62.43, 23, 1 1 12

Cell and atoms:
abc: 3.8186 3.8186 28.4760
angles: 90.00 90.00 120.00
Space group R-3m (No. 166, hexagonal axes)
Symmetry-distinct sites (fractional):
Dy  0.0000  0.0000  0.2169 [6 per cell]
Cl  0.0000  0.0000  0.3888 [6 per cell]
O  0.0000  0.0000  0.1368 [6 per cell]



Diffraction record for DyClO. The X-ray diffraction stick pattern is computed, not measured: it uses DFT lattice parameters and positions (PBE) and Cu Ka.
No peak broadening, texture or thermal motion is included.

Peak list (10 most intense, 15° ≤ 2θ ≤ 90°, sorted by position)
2θ (°), I_rel, index
23.21, 99, 0 1 1
28.44, 51, 0 1 2
30.18, 100, 1 0 2
31.82, 27, 1 1 0
33.23, 61, 1 1 1
37.04, 39, 1 0 3
43.07, 35, 1 1 3
47.99, 28, 2 0 0
50.38, 35, 1 1 4
53.58, 39, 1 2 2

Cell and atoms:
abc: 3.794 4.191 9.472
angles: 90.00 90.00 90.00
Space group Pmmn (No. 59, origin choice 2)
Symmetry-distinct sites (fractional):
Dy  0.250  0.250  0.113 [2 per cell]
Cl  0.250  0.750  0.686 [2 per cell]
O  0.250  0.750  0.027 [2 per cell]